Structure and theoretical XRD peak list of Tl2PtAuCl6 (a PBE-relaxed structure; Cu Kα (λ = 1.5418 Å)).
Lines closer than 0.1° are merged.

Structural model:
Lattice parameters (Å, degrees): 7.254 7.254 7.254 121.45 121.42 87.53
Fractional positions:
Tl1 0.248 0.248 0.000
Tl2 0.752 0.752 0.000
Pt1 0.000 0.500 0.500
Au1 0.500 0.000 0.500
Cl1 0.227 0.727 0.500
Cl2 0.245 0.254 0.499
Cl3 0.245 0.746 0.991
Cl4 0.755 0.254 0.009
Cl5 0.755 0.746 0.501
Cl6 0.773 0.273 0.500

Principal peaks in the range 2θ = 10–80°, by angle:
24.57°, intensity 100
25.10°, intensity 47
34.23°, intensity 21
35.79°, intensity 38
42.92°, intensity 23
43.89°, intensity 45
50.36°, intensity 27
51.51°, intensity 13
63.31°, intensity 14
68.03°, intensity 13